Entry 1:
Cs2GaFeCl6: theoretical powder X-ray diffraction pattern (a wavelength of 1.5418 Å), based on the GGA-PBE geometry in Alexandria.

Cell and atoms:
```
data_Cs2GaFeCl6
_cell_length_a 7.3796
_cell_length_b 7.3796
_cell_length_c 7.3796
_cell_angle_alpha 120.00
_cell_angle_beta 120.00
_cell_angle_gamma 90.00
_symmetry_space_group_name_H-M 'P 1'
_symmetry_Int_Tables_number 1
loop_
_symmetry_equiv_pos_as_xyz
'x,y,z'
loop_
_atom_site_label
_atom_site_type_symbol
_atom_site_fract_x
_atom_site_fract_y
_atom_site_fract_z
Cs1 Cs 0.2500 0.7500 0.5000
Cs2 Cs 0.7500 0.2500 0.5000
Ga1 Ga 0.0000 0.0000 0.0000
Fe1 Fe 0.5000 0.5000 0.0000
Cl1 Cl 0.2652 0.2652 0.5304
Cl2 Cl 0.2652 0.7348 0.0000
Cl3 Cl 0.2665 0.2665 0.0000
Cl4 Cl 0.7335 0.7335 0.0000
Cl5 Cl 0.7348 0.2652 0.0000
Cl6 Cl 0.7348 0.7348 0.4696
```

Main lines, in order of falling intensity (2θ from 10° to 90°):
2theta	I (rel.)
24.1	100
34.4	70
49.4	46
29.7	45
42.4	44
67.1	24
55.7	22
82.7	19
58.7	16
61.6	15

=====

Entry 2:
Np2TiTl2S6: theoretical powder X-ray diffraction pattern (a wavelength of 1.5418 Å), based on the GGA-PBE geometry in Alexandria.

Cell and atoms:
```
data_Np2TiTl2S6
_cell_length_a 6.6401
_cell_length_b 6.6401
_cell_length_c 7.9364
_cell_angle_alpha 98.27
_cell_angle_beta 98.27
_cell_angle_gamma 119.59
_symmetry_space_group_name_H-M 'P 1'
_symmetry_Int_Tables_number 1
loop_
_symmetry_equiv_pos_as_xyz
'x,y,z'
loop_
_atom_site_label
_atom_site_type_symbol
_atom_site_fract_x
_atom_site_fract_y
_atom_site_fract_z
Np1 Np 0.1664 0.8336 0.0000
Np2 Np 0.8336 0.1664 0.0000
Ti1 Ti 0.5000 0.5000 0.0000
Tl1 Tl 0.3295 0.6705 0.5000
Tl2 Tl 0.6705 0.3295 0.5000
S1 S 0.1224 0.4347 0.8106
S2 S 0.2564 0.2564 0.1909
S3 S 0.4347 0.1224 0.8106
S4 S 0.5653 0.8776 0.1894
S5 S 0.7436 0.7436 0.8091
S6 S 0.8776 0.5653 0.1894
```

Main lines, in order of falling intensity (2θ from 10° to 90°):
2theta	I (rel.)
31.2	100
27.9	81
41.7	56
30.9	48
23.4	47
17.2	43
47.2	30
15.4	30
22.0	26
28.2	17

=====

Entry 3:
K2HoCrSe4: theoretical powder X-ray diffraction pattern (a wavelength of 1.5418 Å), based on the GGA-PBE geometry in Alexandria.

Cell and atoms:
```
data_K2HoCrSe4
_cell_length_a 6.9451
_cell_length_b 4.0405
_cell_length_c 7.9767
_cell_angle_alpha 90.00
_cell_angle_beta 107.20
_cell_angle_gamma 90.00
_symmetry_space_group_name_H-M 'P 1'
_symmetry_Int_Tables_number 1
loop_
_symmetry_equiv_pos_as_xyz
'x,y,z'
loop_
_atom_site_label
_atom_site_type_symbol
_atom_site_fract_x
_atom_site_fract_y
_atom_site_fract_z
K1 K 0.0000 0.0000 0.0000
K2 K 0.5000 0.5000 0.0000
Ho1 Ho 0.0000 0.5000 0.5000
Cr1 Cr 0.5000 0.0000 0.5000
Se1 Se 0.2544 0.0000 0.6991
Se2 Se 0.2937 0.5000 0.3141
Se3 Se 0.7063 0.5000 0.6859
Se4 Se 0.7456 0.0000 0.3009
```

Main lines, in order of falling intensity (2θ from 10° to 90°):
2theta	I (rel.)
30.0	100
11.6	55
40.7	22
45.1	22
37.7	22
44.9	12
54.9	11
51.1	10
41.0	9
73.9	8

=====

Entry 4:
BaNaGaP2: theoretical powder X-ray diffraction pattern (a wavelength of 1.5418 Å), based on the GGA-PBE geometry in Alexandria.

Cell and atoms:
```
data_BaNaGaP2
_cell_length_a 7.6090
_cell_length_b 7.6090
_cell_length_c 6.0030
_cell_angle_alpha 90.00
_cell_angle_beta 90.00
_cell_angle_gamma 130.28
_symmetry_space_group_name_H-M 'P 1'
_symmetry_Int_Tables_number 1
loop_
_symmetry_equiv_pos_as_xyz
'x,y,z'
loop_
_atom_site_label
_atom_site_type_symbol
_atom_site_fract_x
_atom_site_fract_y
_atom_site_fract_z
Ba1 Ba 0.2500 0.7500 0.7590
Ba2 Ba 0.7500 0.2500 0.2410
Na1 Na 0.2500 0.2500 0.5000
Na2 Na 0.7500 0.7500 0.5000
Ga1 Ga 0.0000 0.0000 0.0000
Ga2 Ga 0.5000 0.5000 0.0000
P1 P 0.1269 0.8731 0.2288
P2 P 0.3731 0.6269 0.2288
P3 P 0.6269 0.3731 0.7712
P4 P 0.8731 0.1269 0.7712
```

Main lines, in order of falling intensity (2θ from 10° to 90°):
2theta	I (rel.)
28.1	100
32.5	60
27.9	50
21.3	47
38.5	45
43.4	33
25.8	28
41.3	22
49.5	20
49.9	17

=====

Entry 5:
Cr2Te3: theoretical powder X-ray diffraction pattern (a wavelength of 1.5418 Å), based on the GGA-PBE geometry in Alexandria.

Cell and atoms:
```
data_Cr2Te3
_cell_length_a 6.8922
_cell_length_b 6.8922
_cell_length_c 12.2907
_cell_angle_alpha 90.00
_cell_angle_beta 90.00
_cell_angle_gamma 120.00
_symmetry_space_group_name_H-M 'P 1'
_symmetry_Int_Tables_number 1
loop_
_symmetry_equiv_pos_as_xyz
'x,y,z'
loop_
_atom_site_label
_atom_site_type_symbol
_atom_site_fract_x
_atom_site_fract_y
_atom_site_fract_z
Cr1 Cr 0.0000 0.0000 0.0000
Cr2 Cr 0.0000 0.0000 0.5000
Cr3 Cr 0.3333 0.6667 0.0071
Cr4 Cr 0.3333 0.6667 0.4929
Cr5 Cr 0.3333 0.6667 0.7500
Cr6 Cr 0.6667 0.3333 0.2500
Cr7 Cr 0.6667 0.3333 0.5071
Cr8 Cr 0.6667 0.3333 0.9929
Te1 Te 0.0045 0.3340 0.8775
Te2 Te 0.0045 0.6705 0.6225
Te3 Te 0.3295 0.3340 0.6225
Te4 Te 0.3295 0.9955 0.8775
Te5 Te 0.3340 0.0045 0.3775
Te6 Te 0.3340 0.3295 0.1225
Te7 Te 0.6660 0.6705 0.8775
Te8 Te 0.6660 0.9955 0.6225
Te9 Te 0.6705 0.0045 0.1225
Te10 Te 0.6705 0.6660 0.3775
Te11 Te 0.9955 0.3295 0.3775
Te12 Te 0.9955 0.6660 0.1225
```

Main lines, in order of falling intensity (2θ from 10° to 90°):
2theta	I (rel.)
29.7	100
39.3	38
45.6	33
51.9	21
55.4	17
74.5	14
78.7	12
55.0	12
29.1	11
61.7	9

=====

Entry 6:
KMn2ZnI8: theoretical powder X-ray diffraction pattern (a wavelength of 1.5418 Å), based on the GGA-PBE geometry in Alexandria.

Cell and atoms:
```
data_KMn2ZnI8
_cell_length_a 7.1489
_cell_length_b 7.2489
_cell_length_c 10.4920
_cell_angle_alpha 78.02
_cell_angle_beta 78.57
_cell_angle_gamma 79.61
_symmetry_space_group_name_H-M 'P 1'
_symmetry_Int_Tables_number 1
loop_
_symmetry_equiv_pos_as_xyz
'x,y,z'
loop_
_atom_site_label
_atom_site_type_symbol
_atom_site_fract_x
_atom_site_fract_y
_atom_site_fract_z
K1 K 0.0000 0.0000 0.0000
Mn1 Mn 0.4478 0.4458 0.6830
Mn2 Mn 0.5522 0.5542 0.3170
Zn1 Zn 0.0000 0.0000 0.5000
I1 I 0.1506 0.7558 0.7059
I2 I 0.2470 0.8595 0.2951
I3 I 0.3094 0.3218 0.4910
I4 I 0.3323 0.3269 0.9379
I5 I 0.6677 0.6731 0.0621
I6 I 0.6906 0.6782 0.5090
I7 I 0.7530 0.1405 0.7049
I8 I 0.8494 0.2442 0.2941
```

Main lines, in order of falling intensity (2θ from 10° to 90°):
2theta	I (rel.)
16.6	100
26.2	52
26.1	51
27.3	50
20.8	49
26.8	33
27.0	29
30.2	23
23.4	21
45.5	20

=====

Entry 7:
ZnB2As: theoretical powder X-ray diffraction pattern (a wavelength of 1.5418 Å), based on the GGA-PBE geometry in Alexandria.

Cell and atoms:
```
data_ZnB2As
_cell_length_a 5.0539
_cell_length_b 5.0539
_cell_length_c 8.9957
_cell_angle_alpha 90.00
_cell_angle_beta 90.00
_cell_angle_gamma 90.00
_symmetry_space_group_name_H-M 'P 1'
_symmetry_Int_Tables_number 1
loop_
_symmetry_equiv_pos_as_xyz
'x,y,z'
loop_
_atom_site_label
_atom_site_type_symbol
_atom_site_fract_x
_atom_site_fract_y
_atom_site_fract_z
Zn1 Zn 0.0000 0.0000 0.0000
Zn2 Zn 0.0000 0.5000 0.2500
Zn3 Zn 0.5000 0.0000 0.7500
Zn4 Zn 0.5000 0.5000 0.5000
B1 B 0.2291 0.2500 0.6250
B2 B 0.2500 0.7291 0.8750
B3 B 0.2500 0.7709 0.3750
B4 B 0.2709 0.2500 0.1250
B5 B 0.7291 0.7500 0.1250
B6 B 0.7500 0.2291 0.3750
B7 B 0.7500 0.2709 0.8750
B8 B 0.7709 0.7500 0.6250
As1 As 0.0000 0.0000 0.5000
As2 As 0.0000 0.5000 0.7500
As3 As 0.5000 0.0000 0.2500
As4 As 0.5000 0.5000 0.0000
```

Main lines, in order of falling intensity (2θ from 10° to 90°):
2theta	I (rel.)
32.0	100
35.5	30
61.6	29
54.6	25
51.1	15
67.8	11
40.1	11
89.7	10
66.9	9
84.1	6

=====

Entry 8:
La2CdB3Pt12: theoretical powder X-ray diffraction pattern (a wavelength of 1.5418 Å), based on the GGA-PBE geometry in Alexandria.

Cell and atoms:
```
data_La2CdB3Pt12
_cell_length_a 7.4529
_cell_length_b 7.4529
_cell_length_c 7.4529
_cell_angle_alpha 65.40
_cell_angle_beta 65.40
_cell_angle_gamma 65.40
_symmetry_space_group_name_H-M 'P 1'
_symmetry_Int_Tables_number 1
loop_
_symmetry_equiv_pos_as_xyz
'x,y,z'
loop_
_atom_site_label
_atom_site_type_symbol
_atom_site_fract_x
_atom_site_fract_y
_atom_site_fract_z
La1 La 0.1045 0.1045 0.1045
La2 La 0.8955 0.8955 0.8955
Cd1 Cd 0.5000 0.5000 0.5000
B1 B 0.0000 0.5000 0.5000
B2 B 0.5000 0.0000 0.5000
B3 B 0.5000 0.5000 0.0000
Pt1 Pt 0.1026 0.6303 0.6303
Pt2 Pt 0.1783 0.1783 0.5887
Pt3 Pt 0.1783 0.5887 0.1783
Pt4 Pt 0.3697 0.3697 0.8974
Pt5 Pt 0.3697 0.8974 0.3697
Pt6 Pt 0.4113 0.8217 0.8217
Pt7 Pt 0.5887 0.1783 0.1783
Pt8 Pt 0.6303 0.1026 0.6303
Pt9 Pt 0.6303 0.6303 0.1026
Pt10 Pt 0.8217 0.4113 0.8217
Pt11 Pt 0.8217 0.8217 0.4113
Pt12 Pt 0.8974 0.3697 0.3697
```

Main lines, in order of falling intensity (2θ from 10° to 90°):
2theta	I (rel.)
32.9	100
45.0	49
35.6	31
36.4	27
49.2	24
39.9	17
67.0	13
56.9	13
50.2	10
75.9	10